[1]
Starting from a structure optimized by DFT (PBE), the PXRD pattern of TbMg2Au was calculated for Cu Kα X-rays.
Peak positions follow from Bragg's law for the DFT cell and can differ from measured ones.

Main lines, sorted by position (2θ from 5° to 70°):
2theta, d [Å], I (rel.), index
21.6, 4.107, 100, 0 2 0
22.1, 4.017, 55, 4 0 0
31.2, 2.869, 31, 4 2 0
34.0, 2.640, 31, 5 1 1
35.5, 2.529, 92, 2 1 2
38.9, 2.317, 26, 6 1 1
44.1, 2.053, 22, 0 4 0
47.7, 1.907, 33, 2 3 2

Crystal structure
abc: 16.041 8.214 5.636
angles: 90.00 90.00 90.00
Space group Pnma (No. 62)
One atom of each set of equivalent atoms:
Tb 0.106 0.250 0.245
Tb 0.137 0.750 0.053
Mg 0.037 0.054 0.750
Mg 0.215 0.554 0.543
Au 0.068 0.750 0.548
Au 0.184 0.250 0.744



[2]
Starting from a structure optimized by DFT (PBE), the PXRD pattern of Na6MoAs4 was calculated for Cu Kα X-rays.
Peak positions follow from Bragg's law for the DFT cell and can differ from measured ones.

Main lines, sorted by position (2θ from 5° to 70°):
2theta, d [Å], I (rel.), index
10.8, 8.176, 82, 1 0 0
16.2, 5.462, 89, 1 0 1
21.7, 4.088, 51, 2 0 0
24.9, 3.572, 45, 2 0 1
31.4, 2.848, 49, 2 1 1
32.8, 2.731, 61, 2 0 2
38.1, 2.361, 100, 2 2 0
43.1, 2.100, 42, 2 0 3

Crystal structure
abc: 9.4411 9.4411 7.3408
angles: 90.00 90.00 120.00
Space group P6_3mc (No. 186)
One atom of each set of equivalent atoms:
Na 0.0612 0.5306 0.0000
Na 0.1490 0.2980 0.3204
Mo 0.3333 0.6667 0.6147
As 0.1927 0.3853 0.7174
As 0.3333 0.6667 0.2850



[3]
Starting from a structure optimized by DFT (PBE), the PXRD pattern of SmTmCuHg was calculated for Cu Kα X-rays.
Peak positions follow from Bragg's law for the DFT cell and can differ from measured ones.

Main lines, sorted by position (2θ from 5° to 70°):
2theta, d [Å], I (rel.), index
11.8, 7.508, 8, 0 0 1
27.8, 3.204, 17, 1 0 1
34.8, 2.577, 100, 1 0 2
35.8, 2.505, 54, 1 1 0
48.5, 1.877, 8, 0 0 4
51.6, 1.771, 25, 2 0 0
61.8, 1.502, 16, 1 1 4
63.8, 1.460, 35, 2 1 2

Crystal structure
abc: 3.543 3.543 7.508
angles: 90.00 90.00 90.00
Space group P4mm (No. 99)
One atom of each set of equivalent atoms:
Sm 0.000 0.000 0.000
Tm 0.000 0.000 0.454
Cu 0.500 0.500 0.249
Hg 0.500 0.500 0.714



[4]
Starting from a structure optimized by DFT (PBE), the PXRD pattern of LiGa2Pd3 was calculated for Cu Kα X-rays.
Peak positions follow from Bragg's law for the DFT cell and can differ from measured ones.

Main lines, sorted by position (2θ from 5° to 70°):
2theta, d [Å], I (rel.), index
14.8, 5.979, 9, 0 0 1
28.7, 3.106, 19, 1 3 0
29.9, 2.989, 8, 0 0 2
41.1, 2.196, 53, 2 0 0
41.9, 2.154, 100, 1 3 2
51.6, 1.770, 7, 2 0 2
59.5, 1.553, 17, 2 6 0
62.1, 1.495, 8, 0 0 4

Crystal structure
abc: 4.393 13.179 5.979
angles: 90.00 90.00 90.00
Space group Cmmm (No. 65)
One atom of each set of equivalent atoms:
Li 0.000 0.167 0.000
Ga 0.000 0.169 0.500
Ga 0.000 0.500 0.000
Ga 0.000 0.500 0.500
Pd 0.000 0.000 0.254
Pd 0.000 0.335 0.254



[5]
Starting from a structure optimized by DFT (PBE), the PXRD pattern of K2LiTlBr4 was calculated for Cu Kα X-rays.
Peak positions follow from Bragg's law for the DFT cell and can differ from measured ones.

Main lines, sorted by position (2θ from 5° to 70°):
2theta, d [Å], I (rel.), index
11.7, 7.538, 40, 1 1 0
13.8, 6.439, 20, 0 2 0
22.8, 3.903, 31, 1 3 0
27.4, 3.257, 100, 0 0 2
27.7, 3.220, 39, 0 4 0
38.7, 2.324, 20, 4 0 0
39.3, 2.290, 60, 0 4 2
39.5, 2.283, 18, 4 0 -4

Crystal structure
abc: 13.025 12.878 9.131
angles: 90.00 134.46 90.00
Space group C2/c (No. 15)
One atom of each set of equivalent atoms:
K 0.000 0.000 0.000
K 0.250 0.250 0.000
Li 0.250 0.250 0.500
Tl 0.000 0.500 0.000
Br 0.001 0.248 0.488
Br 0.246 0.036 0.496



[6]
Starting from a structure optimized by DFT (PBE), the PXRD pattern of Hf2MnBe3 was calculated for Cu Kα X-rays.
Peak positions follow from Bragg's law for the DFT cell and can differ from measured ones.

Main lines, sorted by position (2θ from 5° to 70°):
2theta, d [Å], I (rel.), index
22.7, 3.923, 89, 0 0 1
22.8, 3.908, 49, 1 1 0
37.5, 2.401, 57, 1 1 1
37.6, 2.393, 100, 0 2 0
44.3, 2.047, 61, 3 1 -2
44.4, 2.042, 69, 0 2 1
67.7, 1.384, 20, 6 0 -2
67.8, 1.381, 19, 3 3 -1

Crystal structure
abc: 8.299 4.781 4.805
angles: 90.00 125.19 90.00
Space group C2/m (No. 12)
One atom of each set of equivalent atoms:
Hf 0.127 0.000 0.380
Mn 0.000 0.500 0.500
Be 0.000 0.500 0.000
Be 0.250 0.250 0.000



[7]
Starting from a structure optimized by DFT (PBE), the PXRD pattern of YEr6Th4 was calculated for Cu Kα X-rays.
Peak positions follow from Bragg's law for the DFT cell and can differ from measured ones.

Main lines, sorted by position (2θ from 5° to 70°):
2theta, d [Å], I (rel.), index
27.2, 3.279, 33, 1 0 3
30.8, 2.907, 65, 0 2 0
31.6, 2.827, 100, 0 1 11
34.0, 2.636, 35, 1 1 6
36.6, 2.454, 49, 1 1 8
41.5, 2.176, 22, 1 2 3
55.2, 1.663, 20, 0 3 11
63.7, 1.461, 26, 2 1 11

Crystal structure
abc: 3.413 5.815 35.581
angles: 90.00 90.00 90.00
Space group Immm (No. 71)
One atom of each set of equivalent atoms:
Y 0.000 0.000 0.000
Er 0.000 0.500 0.131
Er 0.000 0.500 0.233
Er 0.000 0.500 0.404
Th 0.000 0.000 0.182
Th 0.000 0.000 0.456